1.
Diffraction record for CsCdSn. The PXRD pattern is theoretical, not measured: it uses a structure optimized by DFT (GGA-PBE) and Cu Ka.
Lines closer than 0.1° are merged.

Cell: 4.9652 4.9652 6.1117 Å, 90.00 90.00 120.00°
Positions (direct):
Cs (0.0000, 0.0000, 0.0000)
Cd (0.6667, 0.3333, 0.5000)
Sn (0.3333, 0.6667, 0.5000)

Main lines, low angle first (15° ≤ 2θ ≤ 90°):
| d (Å) | Position (°2θ) | I/Imax |
| --- | --- | --- |
| 3.517 | 25.33 | 1000 |
| 3.056 | 29.22 | 252 |
| 2.483 | 36.18 | 428 |
| 2.028 | 44.68 | 215 |
| 1.927 | 47.17 | 402 |
| 1.571 | 58.79 | 190 |

2.
Diffraction record for PuIBr6. The PXRD pattern is theoretical, not measured: it uses a structure optimized by DFT (GGA-PBE) and Cu Ka.
Lines closer than 0.1° are merged.

Cell: 7.6347 12.3816 8.8296 Å, 90.00 113.01 90.00°
Positions (direct):
Pu (0.0000, 0.0000, 0.0000)
Pu (0.5000, 0.5000, 0.0000)
I (0.0000, 0.5000, 0.5000)
I (0.5000, 0.0000, 0.5000)
Br (0.0380, 0.1513, 0.8028)
Br (0.0380, 0.8487, 0.8028)
Br (0.0955, 0.5000, 0.8305)
Br (0.4045, 0.0000, 0.1695)
Br (0.4620, 0.3487, 0.1972)
Br (0.4620, 0.6513, 0.1972)
Br (0.5380, 0.3487, 0.8028)
Br (0.5380, 0.6513, 0.8028)
Br (0.5955, 0.0000, 0.8305)
Br (0.9045, 0.5000, 0.1695)
Br (0.9620, 0.1513, 0.1972)
Br (0.9620, 0.8487, 0.1972)

Main lines, low angle first (15° ≤ 2θ ≤ 90°):
| d (Å) | Position (°2θ) | I/Imax |
| --- | --- | --- |
| 4.241 | 20.95 | 416 |
| 3.518 | 25.32 | 1000 |
| 3.397 | 26.23 | 330 |
| 2.986 | 29.92 | 526 |
| 2.396 | 37.53 | 476 |
| 1.975 | 45.94 | 340 |

3.
Diffraction record for PmPa2Ni6. The PXRD pattern is theoretical, not measured: it uses a structure optimized by DFT (GGA-PBE) and Cu Ka.
Lines closer than 0.1° are merged.

Cell: 7.1880 7.1880 3.4230 Å, 90.00 90.00 120.00°
Positions (direct):
Pm (0.0000, 0.0000, 0.0000)
Pa (0.3333, 0.6667, 0.0000)
Pa (0.6667, 0.3333, 0.0000)
Ni (0.0000, 0.3388, 0.5000)
Ni (0.0000, 0.6612, 0.5000)
Ni (0.3388, 0.0000, 0.5000)
Ni (0.3388, 0.3388, 0.5000)
Ni (0.6612, 0.0000, 0.5000)
Ni (0.6612, 0.6612, 0.5000)

Main lines, low angle first (15° ≤ 2θ ≤ 90°):
| d (Å) | Position (°2θ) | I/Imax |
| --- | --- | --- |
| 3.594 | 24.77 | 333 |
| 2.479 | 36.24 | 1000 |
| 2.075 | 43.62 | 460 |
| 1.591 | 57.96 | 256 |
| 1.320 | 71.45 | 207 |
| 1.263 | 75.26 | 236 |

4.
Diffraction record for SnRhS3. The PXRD pattern is theoretical, not measured: it uses a structure optimized by DFT (GGA-PBE) and Cu Ka.
Lines closer than 0.1° are merged.

Cell: 6.3880 3.6742 9.0388 Å, 90.00 91.50 90.00°
Positions (direct):
Sn (0.0856, 0.2500, 0.1943)
Sn (0.9144, 0.7500, 0.8057)
Rh (0.4175, 0.2500, 0.8331)
Rh (0.5825, 0.7500, 0.1669)
S (0.1106, 0.2500, 0.6732)
S (0.2937, 0.7500, 0.9861)
S (0.4505, 0.2500, 0.3083)
S (0.5495, 0.7500, 0.6917)
S (0.7063, 0.2500, 0.0139)
S (0.8894, 0.7500, 0.3268)

Main lines, low angle first (15° ≤ 2θ ≤ 90°):
| d (Å) | Position (°2θ) | I/Imax |
| --- | --- | --- |
| 4.518 | 19.65 | 514 |
| 3.188 | 27.99 | 345 |
| 2.990 | 29.89 | 349 |
| 2.619 | 34.24 | 1000 |
| 2.576 | 34.83 | 478 |
| 1.842 | 49.49 | 327 |

5.
Diffraction record for Hf3AlRu4. The PXRD pattern is theoretical, not measured: it uses a structure optimized by DFT (GGA-PBE) and Cu Ka.
Lines closer than 0.1° are merged.

Cell: 3.2136 4.4903 8.9882 Å, 90.00 90.00 90.00°
Positions (direct):
Hf (0.0000, 0.0000, 0.0000)
Hf (0.0000, 0.5000, 0.2612)
Hf (0.0000, 0.5000, 0.7388)
Al (0.0000, 0.0000, 0.5000)
Ru (0.5000, 0.0000, 0.2553)
Ru (0.5000, 0.0000, 0.7447)
Ru (0.5000, 0.5000, 0.0000)
Ru (0.5000, 0.5000, 0.5000)

Main lines, low angle first (15° ≤ 2θ ≤ 90°):
| d (Å) | Position (°2θ) | I/Imax |
| --- | --- | --- |
| 2.259 | 39.91 | 1000 |
| 2.246 | 40.15 | 488 |
| 1.588 | 58.08 | 162 |
| 1.307 | 72.30 | 171 |
| 1.299 | 72.79 | 326 |
| 1.130 | 86.08 | 108 |

6.
Diffraction record for Ca3Ce2TaAs6. The PXRD pattern is theoretical, not measured: it uses a structure optimized by DFT (GGA-PBE) and Cu Ka.
Lines closer than 0.1° are merged.

Cell: 7.1219 7.1219 7.2228 Å, 99.56 99.56 120.05°
Positions (direct):
Ca (0.0000, 0.0000, 0.0000)
Ca (0.3280, 0.6720, 0.0000)
Ca (0.6720, 0.3280, 0.0000)
Ce (0.1657, 0.8343, 0.5000)
Ce (0.8343, 0.1657, 0.5000)
Ta (0.5000, 0.5000, 0.5000)
As (0.1122, 0.4238, 0.2712)
As (0.2674, 0.2674, 0.7303)
As (0.4238, 0.1122, 0.2712)
As (0.5762, 0.8878, 0.7288)
As (0.7326, 0.7326, 0.2697)
As (0.8878, 0.5762, 0.7288)

Main lines, low angle first (15° ≤ 2θ ≤ 90°):
| d (Å) | Position (°2θ) | I/Imax |
| --- | --- | --- |
| 3.507 | 25.40 | 141 |
| 2.921 | 30.61 | 1000 |
| 2.078 | 43.56 | 240 |
| 2.071 | 43.71 | 119 |
| 2.055 | 44.06 | 354 |
| 1.682 | 54.55 | 120 |

7.
Diffraction record for Mn8Tc3Ru. The PXRD pattern is theoretical, not measured: it uses a structure optimized by DFT (GGA-PBE) and Cu Ka.
Lines closer than 0.1° are merged.

Cell: 4.6627 4.6627 7.6125 Å, 90.00 90.00 120.00°
Positions (direct):
Mn (0.0000, 0.0000, 0.0000)
Mn (0.0000, 0.0000, 0.4988)
Mn (0.1742, 0.3483, 0.7482)
Mn (0.1742, 0.8258, 0.7482)
Mn (0.3487, 0.1744, 0.2487)
Mn (0.6517, 0.8258, 0.7482)
Mn (0.8256, 0.1744, 0.2487)
Mn (0.8256, 0.6513, 0.2487)
Tc (0.3333, 0.6667, 0.0674)
Tc (0.3333, 0.6667, 0.4320)
Tc (0.6667, 0.3333, 0.9302)
Ru (0.6667, 0.3333, 0.5680)

Main lines, low angle first (15° ≤ 2θ ≤ 90°):
| d (Å) | Position (°2θ) | I/Imax |
| --- | --- | --- |
| 2.331 | 38.62 | 538 |
| 2.149 | 42.06 | 1000 |
| 1.988 | 45.63 | 932 |
| 1.952 | 46.54 | 694 |
| 1.308 | 72.23 | 325 |
| 1.269 | 74.82 | 245 |

8.
Diffraction record for ZnGaNO. The PXRD pattern is theoretical, not measured: it uses a structure optimized by DFT (GGA-PBE) and Cu Ka.
Lines closer than 0.1° are merged.

Cell: 6.5287 6.5288 10.5653 Å, 89.98 89.84 60.17°
Positions (direct):
Zn (0.0000, 0.0000, 0.0000)
Zn (0.0103, 0.9943, 0.4876)
Zn (0.3283, 0.3276, 0.7330)
Zn (0.3394, 0.8226, 0.7350)
Zn (0.4936, 0.9950, 0.4925)
Zn (0.5058, 0.4857, 0.4874)
Zn (0.8331, 0.8157, 0.2524)
Zn (0.8440, 0.8115, 0.7359)
Ga (0.0093, 0.4774, 0.4950)
Ga (0.3353, 0.3229, 0.2531)
Ga (0.3474, 0.8194, 0.2578)
Ga (0.5068, 0.9850, 0.0068)
Ga (0.5181, 0.4842, 0.0036)
Ga (0.8374, 0.3313, 0.2540)
Ga (0.8423, 0.3293, 0.7469)
Ga (0.9982, 0.4838, 0.0049)
N (0.9997, 0.4836, 0.6812)
N (0.0113, 0.4804, 0.1835)
N (0.3286, 0.3277, 0.4340)
N (0.3401, 0.8184, 0.4358)
N (0.4955, 0.9949, 0.1851)
N (0.5050, 0.4886, 0.1846)
N (0.8345, 0.3314, 0.9330)
N (0.8403, 0.3271, 0.4328)
O (0.0116, 0.9941, 0.1907)
O (0.3409, 0.3211, 0.9445)
O (0.3522, 0.8144, 0.9418)
O (0.5078, 0.9905, 0.6952)
O (0.5188, 0.4806, 0.6977)
O (0.8323, 0.8158, 0.9445)
O (0.8448, 0.8093, 0.4436)
O (0.9964, 0.0037, 0.6976)

Main lines, low angle first (15° ≤ 2θ ≤ 90°):
| d (Å) | Position (°2θ) | I/Imax |
| --- | --- | --- |
| 2.829 | 31.62 | 583 |
| 2.641 | 33.94 | 463 |
| 2.495 | 35.99 | 1000 |
| 2.489 | 36.08 | 204 |
| 1.632 | 56.37 | 262 |
| 1.494 | 62.14 | 178 |

9.
Diffraction record for CaTaAlO5. The PXRD pattern is theoretical, not measured: it uses a structure optimized by DFT (GGA-PBE) and Cu Ka.
Lines closer than 0.1° are merged.

Cell: 5.6498 5.6498 7.4640 Å, 104.65 104.65 105.75°
Positions (direct):
Ca (0.1688, 0.8312, 0.7500)
Ca (0.8312, 0.1688, 0.2500)
Ta (0.5000, 0.5000, 0.0000)
Ta (0.5000, 0.5000, 0.5000)
Al (0.1831, 0.8169, 0.2500)
Al (0.8169, 0.1831, 0.7500)
O (0.1353, 0.2489, 0.9097)
O (0.1941, 0.6036, 0.3885)
O (0.2489, 0.1353, 0.4097)
O (0.3964, 0.8059, 0.1115)
O (0.4270, 0.5730, 0.7500)
O (0.5730, 0.4270, 0.2500)
O (0.6036, 0.1941, 0.8885)
O (0.7511, 0.8647, 0.5903)
O (0.8059, 0.3964, 0.6115)
O (0.8647, 0.7511, 0.0903)

Main lines, low angle first (15° ≤ 2θ ≤ 90°):
| d (Å) | Position (°2θ) | I/Imax |
| --- | --- | --- |
| 5.103 | 17.38 | 1000 |
| 4.505 | 19.71 | 314 |
| 3.419 | 26.06 | 789 |
| 3.096 | 28.83 | 378 |
| 2.705 | 33.12 | 806 |
| 2.160 | 41.82 | 181 |

10.
Diffraction record for TmHfMg. The PXRD pattern is theoretical, not measured: it uses a structure optimized by DFT (GGA-PBE) and Cu Ka.
Lines closer than 0.1° are merged.

Cell: 3.3095 3.3095 13.5966 Å, 90.00 90.00 90.00°
Positions (direct):
Tm (0.0000, 0.0000, 0.0000)
Tm (0.5000, 0.5000, 0.5000)
Hf (0.0000, 0.0000, 0.6604)
Hf (0.5000, 0.5000, 0.1604)
Mg (0.0000, 0.0000, 0.3191)
Mg (0.5000, 0.5000, 0.8191)

Main lines, low angle first (15° ≤ 2θ ≤ 90°):
| d (Å) | Position (°2θ) | I/Imax |
| --- | --- | --- |
| 3.216 | 27.74 | 235 |
| 2.673 | 33.53 | 1000 |
| 2.340 | 38.47 | 347 |
| 1.628 | 56.53 | 223 |
| 1.407 | 66.45 | 279 |
| 1.375 | 68.23 | 160 |

11.
Diffraction record for Li10SiP2Se12. The PXRD pattern is theoretical, not measured: it uses a structure optimized by DFT (GGA-PBE) and Cu Ka.
Lines closer than 0.1° are merged.

Cell: 9.2563 9.2563 13.3467 Å, 90.00 90.00 90.00°
Positions (direct):
Li (0.0000, 0.0000, 0.0000)
Li (0.0000, 0.0000, 0.5000)
Li (0.2278, 0.2599, 0.2443)
Li (0.2278, 0.7401, 0.2443)
Li (0.2408, 0.2428, 0.4758)
Li (0.2408, 0.7572, 0.4758)
Li (0.2428, 0.2408, 0.9758)
Li (0.2428, 0.7592, 0.9758)
Li (0.2599, 0.2278, 0.7443)
Li (0.2599, 0.7722, 0.7443)
Li (0.5000, 0.5000, 0.3947)
Li (0.5000, 0.5000, 0.8947)
Li (0.7401, 0.2278, 0.7443)
Li (0.7401, 0.7722, 0.7443)
Li (0.7572, 0.2408, 0.9758)
Li (0.7572, 0.7592, 0.9758)
Li (0.7592, 0.2428, 0.4758)
Li (0.7592, 0.7572, 0.4758)
Li (0.7722, 0.2599, 0.2443)
Li (0.7722, 0.7401, 0.2443)
Si (0.0000, 0.0000, 0.2530)
Si (0.0000, 0.0000, 0.7530)
P (0.0000, 0.5000, 0.4565)
P (0.5000, 0.0000, 0.9565)
P (0.5000, 0.5000, 0.1377)
P (0.5000, 0.5000, 0.6377)
Se (0.0000, 0.2012, 0.1526)
Se (0.0000, 0.2065, 0.8528)
Se (0.0000, 0.3052, 0.5531)
Se (0.0000, 0.6948, 0.5531)
Se (0.0000, 0.7935, 0.8528)
Se (0.0000, 0.7988, 0.1526)
Se (0.1991, 0.5000, 0.3598)
Se (0.2012, 0.0000, 0.6526)
Se (0.2065, 0.0000, 0.3528)
Se (0.2973, 0.5000, 0.0455)
Se (0.3029, 0.5000, 0.7327)
Se (0.3052, 0.0000, 0.0531)
Se (0.5000, 0.1991, 0.8598)
Se (0.5000, 0.2973, 0.5455)
Se (0.5000, 0.3029, 0.2327)
Se (0.5000, 0.6971, 0.2327)
Se (0.5000, 0.7027, 0.5455)
Se (0.5000, 0.8009, 0.8598)
Se (0.6948, 0.0000, 0.0531)
Se (0.6971, 0.5000, 0.7327)
Se (0.7027, 0.5000, 0.0455)
Se (0.7935, 0.0000, 0.3528)
Se (0.7988, 0.0000, 0.6526)
Se (0.8009, 0.5000, 0.3598)

Main lines, low angle first (15° ≤ 2θ ≤ 90°):
| d (Å) | Position (°2θ) | I/Imax |
| --- | --- | --- |
| 3.954 | 22.49 | 155 |
| 3.273 | 27.25 | 358 |
| 3.207 | 27.82 | 1000 |
| 2.314 | 38.92 | 201 |
| 2.035 | 44.53 | 196 |
| 1.877 | 48.51 | 162 |

12.
Diffraction record for Zr3In2Cl9. The PXRD pattern is theoretical, not measured: it uses a structure optimized by DFT (GGA-PBE) and Cu Ka.
Lines closer than 0.1° are merged.

Cell: 10.1831 10.1831 9.9242 Å, 102.34 102.34 117.89°
Positions (direct):
Zr (0.0472, 0.2361, 0.6526)
Zr (0.1349, 0.1349, 0.3617)
Zr (0.2361, 0.0472, 0.6526)
Zr (0.7639, 0.9528, 0.3474)
Zr (0.8650, 0.8650, 0.6383)
Zr (0.9528, 0.7639, 0.3474)
In (0.2290, 0.5508, 0.1688)
In (0.4492, 0.7710, 0.8312)
In (0.5508, 0.2290, 0.1688)
In (0.7710, 0.4492, 0.8312)
Cl (0.0928, 0.8856, 0.1818)
Cl (0.1067, 0.5060, 0.8344)
Cl (0.1144, 0.9072, 0.8182)
Cl (0.1996, 0.4083, 0.5189)
Cl (0.2081, 0.7919, 0.5000)
Cl (0.2851, 0.2851, 0.2097)
Cl (0.3154, 0.3154, 0.8343)
Cl (0.4083, 0.1996, 0.5189)
Cl (0.4940, 0.8933, 0.1656)
Cl (0.5060, 0.1067, 0.8344)
Cl (0.5917, 0.8004, 0.4811)
Cl (0.6846, 0.6846, 0.1657)
Cl (0.7149, 0.7149, 0.7903)
Cl (0.7919, 0.2081, 0.5000)
Cl (0.8004, 0.5917, 0.4811)
Cl (0.8856, 0.0928, 0.1818)
Cl (0.8933, 0.4940, 0.1656)
Cl (0.9072, 0.1144, 0.8182)

Main lines, low angle first (15° ≤ 2θ ≤ 90°):
| d (Å) | Position (°2θ) | I/Imax |
| --- | --- | --- |
| 4.969 | 17.85 | 440 |
| 3.770 | 23.60 | 639 |
| 2.821 | 31.72 | 602 |
| 2.797 | 31.99 | 1000 |
| 2.489 | 36.09 | 663 |
| 2.409 | 37.33 | 426 |